Record 1
This entry pairs a crystal structure of NdCd3Hg7 with its theoretical PXRD pattern. Radiation: Cu Kα. Structure: a PBE-relaxed structure.

Most intense lines, 2θ from 10° to 80°, in order of falling intensity:
d_spacing  Rel. int.
2.646  100
2.972  98
2.685  81
1.992  45
2.155  43
2.572  39

Atomic structure:
```
NdCd3Hg7
1.0
4.707 -5.370 0.000
4.707 5.370 0.000
-2.217 0.000 5.858
Nd Cd Hg
1 3 7
Direct
0.000 0.000 0.000
0.265 0.735 0.500
0.500 0.500 0.000
0.735 0.265 0.500
0.000 0.000 0.500
0.093 0.552 0.826
0.315 0.315 0.426
0.448 0.907 0.174
0.552 0.093 0.826
0.685 0.685 0.574
0.907 0.448 0.174
```

Record 2
This entry pairs a crystal structure of Rb2TaTlF6 with its theoretical PXRD pattern. Radiation: Cu Kα. Structure: a PBE-relaxed structure.

Most intense lines, 2θ from 10° to 80°, in order of falling intensity:
d_spacing  Rel. int.
3.386  100
1.955  42
2.394  31
4.788  26
1.280  23
1.514  21

Atomic structure:
```
Rb2TaTlF6
1.0
0.000 4.788 4.788
4.788 0.000 4.788
4.788 4.788 0.000
Rb Ta Tl F
2 1 1 6
Direct
0.250 0.250 0.250
0.750 0.750 0.750
0.000 0.000 0.000
0.500 0.500 0.500
0.215 0.215 0.785
0.215 0.785 0.215
0.215 0.785 0.785
0.785 0.215 0.215
0.785 0.215 0.785
0.785 0.785 0.215
```